Record 1
The following is a computed PXRD pattern of Ce2PCl. It was derived from a DFT-relaxed cell (GGA-PBE, Alexandria), using λ = 1.5418 Å (Cu Kα).
Kinematic intensities with the Lorentz-polarization factor, no thermal factor.

Atomic structure:
```
data_Ce2PCl
_symmetry_space_group_name_H-M 'I 41/a m d'
_symmetry_Int_Tables_number 141
_cell_length_a 5.732
_cell_length_b 5.732
_cell_length_c 11.517
_cell_angle_alpha 90.00
_cell_angle_beta 90.00
_cell_angle_gamma 90.00
loop_
_symmetry_equiv_pos_as_xyz
'x,y,z'
'-x,-y,-z'
'-y+1/4,x+3/4,z+1/4'
'y+1/4,-x+3/4,-z+1/4'
'-x+1/2,-y,z+1/2'
'x+1/2,y,-z+1/2'
'y+1/4,-x+1/4,z+3/4'
'-y+1/4,x+1/4,-z+3/4'
'x,-y,-z'
'-x,y,z'
'-y+1/4,-x+1/4,-z+3/4'
'y+1/4,x+1/4,z+3/4'
'-x+1/2,y,-z+1/2'
'x+1/2,-y,z+1/2'
'y+1/4,x+3/4,-z+1/4'
'-y+1/4,-x+3/4,z+1/4'
'x+1/2,y+1/2,z+1/2'
'-x+1/2,-y+1/2,-z+1/2'
'-y+3/4,x+1/4,z+3/4'
'y+3/4,-x+1/4,-z+3/4'
'-x,-y+1/2,z'
'x,y+1/2,-z'
'y+3/4,-x+3/4,z+1/4'
'-y+3/4,x+3/4,-z+1/4'
'x+1/2,-y+1/2,-z+1/2'
'-x+1/2,y+1/2,z+1/2'
'-y+3/4,-x+3/4,-z+1/4'
'y+3/4,x+3/4,z+1/4'
'-x,y+1/2,-z'
'x,-y+1/2,z'
'y+3/4,x+1/4,-z+3/4'
'-y+3/4,-x+1/4,z+3/4'
loop_
_atom_site_label
_atom_site_type_symbol
_atom_site_fract_x
_atom_site_fract_y
_atom_site_fract_z
Ce1 Ce 0.000 0.250 0.120
P1 P 0.000 0.250 0.875
Cl1 Cl 0.000 0.250 0.375
```

The 10 most intense peaks (2θ from 15° to 90°), by intensity:
2θ/deg, I_rel, hkl
26.90, 100, 1 1 2
31.21, 94, 2 0 0
44.61, 67, 2 0 4
31.06, 47, 0 0 4
55.45, 35, 2 2 4
44.72, 34, 2 2 0
52.96, 33, 3 1 2
73.92, 30, 4 2 0
82.36, 22, 4 2 4
52.77, 16, 1 1 6



Record 2
The following is a computed PXRD pattern of Ce3P2Cl3. It was derived from a DFT-relaxed cell (GGA-PBE, Alexandria), using λ = 1.5418 Å (Cu Kα).
Kinematic intensities with the Lorentz-polarization factor, no thermal factor.

Atomic structure:
```
data_Ce3P2Cl3
_symmetry_space_group_name_H-M 'P 63/m c m'
_symmetry_Int_Tables_number 193
_symmetry_space_group_name_Hall '-P 6c 2'
_cell_length_a 7.9360
_cell_length_b 7.9360
_cell_length_c 7.3327
_cell_angle_alpha 90.00
_cell_angle_beta 90.00
_cell_angle_gamma 120.00
loop_
_atom_site_label
_atom_site_type_symbol
_atom_site_fract_x
_atom_site_fract_y
_atom_site_fract_z
Ce1 Ce 0.0000 0.4139 0.2500
P1 P 0.3333 0.6667 0.0000
Cl1 Cl 0.0000 0.2339 0.7500
```

The 10 most intense peaks (2θ from 15° to 90°), by intensity:
2θ/deg, I_rel, hkl
36.70, 100, 2 1 1
24.28, 75, 0 0 2
25.52, 73, 1 1 1
33.27, 64, 1 1 2
49.40, 59, 3 1 1
35.81, 54, 2 0 2
51.33, 37, 2 1 3
25.93, 36, 2 0 0
61.71, 30, 3 1 3
22.41, 24, 1 1 0



Record 3
The following is a computed PXRD pattern of Ce7PbCl12. It was derived from a DFT-relaxed cell (GGA-PBE, Alexandria), using λ = 1.5418 Å (Cu Kα).
Kinematic intensities with the Lorentz-polarization factor, no thermal factor.

Atomic structure:
```
data_Ce7PbCl12
_symmetry_space_group_name_H-M 'R -3'
_symmetry_Int_Tables_number 148
_symmetry_space_group_name_Hall '-R 3'
_cell_length_a 15.3803
_cell_length_b 15.3803
_cell_length_c 9.2214
_cell_angle_alpha 90.00
_cell_angle_beta 90.00
_cell_angle_gamma 120.00
loop_
_atom_site_label
_atom_site_type_symbol
_atom_site_fract_x
_atom_site_fract_y
_atom_site_fract_z
Ce1 Ce 0.0000 0.0000 0.0000
Ce2 Ce 0.0440 0.1773 0.2974
Pb1 Pb 0.0000 0.0000 0.5000
Cl1 Cl 0.0414 0.5881 0.1625
Cl2 Cl 0.0465 0.1857 0.8526
```

The 10 most intense peaks (2θ from 15° to 90°), by intensity:
2θ/deg, I_rel, hkl
31.02, 100, 3 1 2
42.38, 42, 2 5 0
30.80, 27, 3 2 1
20.09, 26, 2 1 1
26.21, 21, 1 2 2
46.43, 21, 4 -3 4
53.44, 17, 8 -6 2
70.46, 16, 10 -1 2
23.47, 13, 2 0 2
37.46, 12, 4 -2 3



Record 4
The following is a computed PXRD pattern of CePdCl6. It was derived from a DFT-relaxed cell (GGA-PBE, Alexandria), using λ = 1.5418 Å (Cu Kα).
Kinematic intensities with the Lorentz-polarization factor, no thermal factor.

Atomic structure:
```
data_CePdCl6
_symmetry_space_group_name_H-M 'P -1'
_symmetry_Int_Tables_number 2
_cell_length_a 5.864
_cell_length_b 6.892
_cell_length_c 7.538
_cell_angle_alpha 63.55
_cell_angle_beta 68.69
_cell_angle_gamma 86.78
loop_
_symmetry_equiv_pos_as_xyz
'x,y,z'
'-x,-y,-z'
loop_
_atom_site_label
_atom_site_type_symbol
_atom_site_fract_x
_atom_site_fract_y
_atom_site_fract_z
Ce1 Ce 0.000 0.000 0.000
Pd1 Pd 0.500 0.500 0.000
Cl1 Cl 0.027 0.809 0.363
Cl2 Cl 0.298 0.380 0.845
Cl3 Cl 0.414 0.849 0.812
```

The 10 most intense peaks (2θ from 15° to 90°), by intensity:
2θ/deg, I_rel, hkl
24.74, 100, -1 1 1
19.40, 96, 1 1 1
20.46, 81, 1 -1 0
23.26, 54, 1 1 0
52.23, 43, 0 2 4
41.03, 34, 2 2 1
38.20, 31, 0 2 -1
33.06, 30, 2 0 0
41.58, 27, 2 -2 0
35.95, 26, 1 1 3



Record 5
The following is a computed PXRD pattern of Rb2CeCl7. It was derived from a DFT-relaxed cell (GGA-PBE, Alexandria), using λ = 1.5418 Å (Cu Kα).
Kinematic intensities with the Lorentz-polarization factor, no thermal factor.

Atomic structure:
```
data_Rb2CeCl7
_symmetry_space_group_name_H-M 'C 1 2/c 1'
_symmetry_Int_Tables_number 15
_cell_length_a 17.083
_cell_length_b 7.763
_cell_length_c 13.139
_cell_angle_alpha 90.00
_cell_angle_beta 129.50
_cell_angle_gamma 90.00
loop_
_symmetry_equiv_pos_as_xyz
'x,y,z'
'-x,-y,-z'
'-x,y,-z+1/2'
'x,-y,z+1/2'
'x+1/2,y+1/2,z'
'-x+1/2,-y+1/2,-z'
'-x+1/2,y+1/2,-z+1/2'
'x+1/2,-y+1/2,z+1/2'
loop_
_atom_site_label
_atom_site_type_symbol
_atom_site_fract_x
_atom_site_fract_y
_atom_site_fract_z
Rb1 Rb 0.175 0.024 0.081
Ce1 Ce 0.000 0.475 0.750
Cl1 Cl 0.000 0.119 0.750
Cl2 Cl 0.089 0.275 0.221
Cl3 Cl 0.098 0.298 0.672
Cl4 Cl 0.168 0.456 0.996
```

The 10 most intense peaks (2θ from 15° to 90°), by intensity:
2θ/deg, I_rel, hkl
18.23, 100, 1 1 -2
31.14, 80, 4 2 -2
28.22, 70, 2 0 2
31.73, 39, 5 1 -4
23.26, 34, 3 1 0
20.80, 33, 4 0 -2
36.94, 33, 2 2 -4
47.56, 29, 6 2 0
22.91, 24, 0 2 0
42.00, 21, 1 1 4



Record 6
The following is a computed PXRD pattern of Rb2CeCl5. It was derived from a DFT-relaxed cell (GGA-PBE, Alexandria), using λ = 1.5418 Å (Cu Kα).
Kinematic intensities with the Lorentz-polarization factor, no thermal factor.

Atomic structure:
```
data_Rb2CeCl5
_symmetry_space_group_name_H-M 'P n m a'
_symmetry_Int_Tables_number 62
_cell_length_a 13.458
_cell_length_b 9.040
_cell_length_c 8.383
_cell_angle_alpha 90.00
_cell_angle_beta 90.00
_cell_angle_gamma 90.00
loop_
_symmetry_equiv_pos_as_xyz
'x,y,z'
'-x,-y,-z'
'-x+1/2,-y,z+1/2'
'x+1/2,y,-z+1/2'
'x+1/2,-y+1/2,-z+1/2'
'-x+1/2,y+1/2,z+1/2'
'-x,y+1/2,-z'
'x,-y+1/2,z'
loop_
_atom_site_label
_atom_site_type_symbol
_atom_site_fract_x
_atom_site_fract_y
_atom_site_fract_z
Rb1 Rb 0.171 0.005 0.052
Ce1 Ce 0.004 0.250 0.569
Cl1 Cl 0.011 0.250 0.906
Cl2 Cl 0.073 0.541 0.660
Cl3 Cl 0.175 0.250 0.381
Cl4 Cl 0.197 0.750 0.343
```

The 10 most intense peaks (2θ from 15° to 90°), by intensity:
2θ/deg, I_rel, hkl
22.48, 100, 3 0 1
23.31, 97, 1 2 1
32.01, 69, 2 2 2
29.82, 67, 1 2 2
23.71, 58, 2 2 0
40.46, 58, 5 2 1
33.19, 50, 4 2 0
46.29, 48, 3 4 1
21.20, 46, 0 0 2
39.89, 46, 0 4 0



Record 7
The following is a computed PXRD pattern of RbCe4Cl12. It was derived from a DFT-relaxed cell (GGA-PBE, Alexandria), using λ = 1.5418 Å (Cu Kα).
Kinematic intensities with the Lorentz-polarization factor, no thermal factor.

Atomic structure:
```
data_RbCe4Cl12
_symmetry_space_group_name_H-M 'I m m m'
_symmetry_Int_Tables_number 71
_symmetry_space_group_name_Hall '-I 2 2'
_cell_length_a 10.754
_cell_length_b 10.988
_cell_length_c 10.995
_cell_angle_alpha 90.00
_cell_angle_beta 90.00
_cell_angle_gamma 90.00
loop_
_atom_site_label
_atom_site_type_symbol
_atom_site_fract_x
_atom_site_fract_y
_atom_site_fract_z
Rb1 Rb 0.000 0.000 0.000
Ce1 Ce 0.250 0.250 0.250
Cl1 Cl 0.000 0.300 0.299
Cl2 Cl 0.190 0.000 0.249
Cl3 Cl 0.190 0.249 0.000
```

The 10 most intense peaks (2θ from 15° to 90°), by intensity:
2θ/deg, I_rel, hkl
16.13, 100, 0 0 2
23.14, 65, 2 2 0
32.59, 48, 0 0 4
40.35, 41, 2 4 2
16.49, 39, 2 0 0
36.73, 29, 2 4 0
40.81, 28, 4 2 2
37.23, 24, 4 2 0
22.88, 24, 0 2 2
36.56, 19, 0 2 4



Record 8
The following is a computed PXRD pattern of RbCeCl6. It was derived from a DFT-relaxed cell (GGA-PBE, Alexandria), using λ = 1.5418 Å (Cu Kα).
Kinematic intensities with the Lorentz-polarization factor, no thermal factor.

Atomic structure:
```
data_RbCeCl6
_symmetry_space_group_name_H-M 'P 42/m'
_symmetry_Int_Tables_number 84
_cell_length_a 7.392
_cell_length_b 7.392
_cell_length_c 9.308
_cell_angle_alpha 90.00
_cell_angle_beta 90.00
_cell_angle_gamma 90.00
loop_
_symmetry_equiv_pos_as_xyz
'x,y,z'
'-x,-y,-z'
'-y,x,z+1/2'
'y,-x,-z+1/2'
'-x,-y,z'
'x,y,-z'
'y,-x,z+1/2'
'-y,x,-z+1/2'
loop_
_atom_site_label
_atom_site_type_symbol
_atom_site_fract_x
_atom_site_fract_y
_atom_site_fract_z
Rb1 Rb 0.000 0.000 0.000
Ce1 Ce 0.500 0.500 0.250
Cl1 Cl 0.199 0.324 0.180
Cl2 Cl 0.302 0.383 0.500
```

The 10 most intense peaks (2θ from 15° to 90°), by intensity:
2θ/deg, I_rel, hkl
16.96, 100, 1 1 0
33.24, 90, 2 1 2
22.58, 76, 1 0 2
38.51, 33, 3 1 0
41.47, 30, 3 0 2
34.31, 29, 2 2 0
48.52, 27, 2 3 2
54.88, 24, 1 4 2
42.52, 23, 1 1 4
33.59, 20, 1 1 3



Record 9
The following is a computed PXRD pattern of Rb3Ce2Cl9. It was derived from a DFT-relaxed cell (GGA-PBE, Alexandria), using λ = 1.5418 Å (Cu Kα).
Kinematic intensities with the Lorentz-polarization factor, no thermal factor.

Atomic structure:
```
data_Rb3Ce2Cl9
_symmetry_space_group_name_H-M 'R -3 c'
_symmetry_Int_Tables_number 167
_symmetry_space_group_name_Hall '-R 3 2"c'
_cell_length_a 13.4987
_cell_length_b 13.4987
_cell_length_c 18.1726
_cell_angle_alpha 90.00
_cell_angle_beta 90.00
_cell_angle_gamma 120.00
loop_
_atom_site_label
_atom_site_type_symbol
_atom_site_fract_x
_atom_site_fract_y
_atom_site_fract_z
Rb1 Rb 0.0000 0.3187 0.2500
Ce1 Ce 0.0000 0.0000 0.1413
Cl1 Cl 0.0000 0.1525 0.7500
Cl2 Cl 0.0232 0.1930 0.4171
```

The 10 most intense peaks (2θ from 15° to 90°), by intensity:
2θ/deg, I_rel, hkl
30.32, 100, 2 2 3
22.82, 79, 3 0 0
40.03, 56, 3 3 0
46.60, 49, 6 0 0
24.82, 30, 0 2 4
20.98, 26, 1 0 4
28.17, 25, 2 1 4
33.97, 24, 1 3 4
39.00, 22, 3 2 4
32.40, 22, 1 1 6



Record 10
The following is a computed PXRD pattern of RbCe2Cl6. It was derived from a DFT-relaxed cell (GGA-PBE, Alexandria), using λ = 1.5418 Å (Cu Kα).
Kinematic intensities with the Lorentz-polarization factor, no thermal factor.

Atomic structure:
```
data_RbCe2Cl6
_symmetry_space_group_name_H-M 'C 1 2/c 1'
_symmetry_Int_Tables_number 15
_cell_length_a 16.785
_cell_length_b 9.714
_cell_length_c 6.973
_cell_angle_alpha 90.00
_cell_angle_beta 105.58
_cell_angle_gamma 90.00
loop_
_symmetry_equiv_pos_as_xyz
'x,y,z'
'-x,-y,-z'
'-x,y,-z+1/2'
'x,-y,z+1/2'
'x+1/2,y+1/2,z'
'-x+1/2,-y+1/2,-z'
'-x+1/2,y+1/2,-z+1/2'
'x+1/2,-y+1/2,z+1/2'
loop_
_atom_site_label
_atom_site_type_symbol
_atom_site_fract_x
_atom_site_fract_y
_atom_site_fract_z
Rb1 Rb 0.000 0.249 0.250
Ce1 Ce 0.250 0.005 0.001
Cl1 Cl 0.116 0.061 0.661
Cl2 Cl 0.116 0.438 0.659
Cl3 Cl 0.205 0.250 0.225
```

The 10 most intense peaks (2θ from 15° to 90°), by intensity:
2θ/deg, I_rel, hkl
21.34, 100, 2 2 0
35.07, 94, 4 2 -2
32.41, 64, 0 2 2
31.47, 48, 2 0 2
38.19, 45, 6 2 0
18.26, 44, 0 2 0
31.82, 35, 1 3 1
21.99, 35, 4 0 0
36.63, 34, 2 2 2
43.57, 31, 4 2 2



Record 11
The following is a computed PXRD pattern of Ce3TeRuCl. It was derived from a DFT-relaxed cell (GGA-PBE, Alexandria), using λ = 1.5418 Å (Cu Kα).
Kinematic intensities with the Lorentz-polarization factor, no thermal factor.

Atomic structure:
```
data_Ce3TeRuCl
_symmetry_space_group_name_H-M 'P 1 21/m 1'
_symmetry_Int_Tables_number 11
_cell_length_a 7.647
_cell_length_b 4.470
_cell_length_c 9.517
_cell_angle_alpha 90.00
_cell_angle_beta 106.49
_cell_angle_gamma 90.00
loop_
_symmetry_equiv_pos_as_xyz
'x,y,z'
'-x,-y,-z'
'-x,y+1/2,-z'
'x,-y+1/2,z'
loop_
_atom_site_label
_atom_site_type_symbol
_atom_site_fract_x
_atom_site_fract_y
_atom_site_fract_z
Ce1 Ce 0.022 0.250 0.355
Ce2 Ce 0.210 0.250 0.956
Ce3 Ce 0.430 0.750 0.582
Te1 Te 0.230 0.750 0.211
Ru1 Ru 0.223 0.250 0.607
Cl1 Cl 0.396 0.750 0.877
```

The 10 most intense peaks (2θ from 15° to 90°), by intensity:
2θ/deg, I_rel, hkl
30.91, 100, 2 1 -1
40.36, 60, 0 2 0
34.90, 54, 1 1 -3
35.00, 53, 1 0 3
28.18, 52, 1 1 -2
27.94, 43, 0 1 2
33.35, 42, 2 1 -2
35.16, 41, 2 1 1
28.70, 34, 2 0 1
31.56, 32, 2 1 0